LaTbSm2Tm2: calculated powder diffraction line list (copper Kα), based on a DFT-relaxed cell (PBE, Alexandria).
Neutral-atom scattering factors, no anomalous dispersion.

Structure:
```
data_LaTbSm2Tm2
_space_group_name_H-M_alt 'P n n m'
_space_group_IT_number 58
_cell_length_a 6.977
_cell_length_b 16.224
_cell_length_c 3.540
_cell_angle_alpha 90.00
_cell_angle_beta 90.00
_cell_angle_gamma 90.00
loop_
_space_group_symop_operation_xyz
'x,y,z'
'-x,-y,-z'
'-x,-y,z'
'x,y,-z'
'x+1/2,-y+1/2,-z+1/2'
'-x+1/2,y+1/2,z+1/2'
'-x+1/2,y+1/2,-z+1/2'
'x+1/2,-y+1/2,z+1/2'
loop_
_atom_site_label
_atom_site_fract_x
_atom_site_fract_y
_atom_site_fract_z
La1 0.000 0.000 0.000
Tb1 0.000 0.500 0.500
Sm1 0.247 0.339 0.000
Tm1 0.249 0.154 0.500
```

Largest 8 diffraction maxima, by angle, 10° ≤ 2θ ≤ 80°:
- hkl 2 2 0, 2θ = 27.84°, I 43
- hkl 0 3 1, 2θ = 30.17°, I 100
- hkl 0 6 0, 2θ = 33.13°, I 36
- hkl 2 4 0, 2θ = 33.89°, I 46
- hkl 2 1 1, 2θ = 36.59°, I 59
- hkl 2 7 1, 2θ = 54.11°, I 29
- hkl 4 3 1, 2θ = 61.72°, I 26
- hkl 2 10 0, 2θ = 63.21°, I 26